1.
Th2CoSi3: computed X-ray diffraction stick pattern (copper Kα), based on DFT lattice parameters and positions (GGA-PBE).
No peak broadening, texture or thermal motion is included.

Crystal structure
a b c (Å): 4.0977 4.0977 8.1200
angles (deg): 90.00 90.00 120.00
Atoms (fractional coordinates):
Th (0.0000, 0.0000, 0.2390)
Th (0.0000, 0.0000, 0.7610)
Co (0.6667, 0.3333, 0.0000)
Si (0.3333, 0.6667, 0.0000)
Si (0.3333, 0.6667, 0.5000)
Si (0.6667, 0.3333, 0.5000)

Top 10 peaks for 2θ = 5–70°, by intensity:
2θ/deg  I/Imax
33.54  100
25.09  53
44.21  31
56.61  23
64.63  19
21.89  15
51.89  15
49.85  11
44.64  9
51.50  8

---

2.
Te2MoW2Se2S2: computed X-ray diffraction stick pattern (copper Kα), based on DFT lattice parameters and positions (GGA-PBE).
No peak broadening, texture or thermal motion is included.

Crystal structure
a b c (Å): 3.3502 3.3502 32.0487
angles (deg): 90.00 90.00 120.00
Atoms (fractional coordinates):
Te (0.0000, 0.0000, 0.0000)
Te (0.0000, 0.0000, 0.1189)
Mo (0.6667, 0.3333, 0.5932)
W (0.0000, 0.0000, 0.8283)
W (0.6667, 0.3333, 0.0594)
Se (0.0000, 0.0000, 0.5412)
Se (0.0000, 0.0000, 0.6452)
S (0.6667, 0.3333, 0.7808)
S (0.6667, 0.3333, 0.8758)

Top 10 peaks for 2θ = 5–70°, by intensity:
2θ/deg  I/Imax
5.52  100
11.04  55
36.67  22
35.20  21
44.05  18
30.82  15
54.82  12
42.01  12
13.82  10
32.83  7

---

3.
In2CuAgSe4: computed X-ray diffraction stick pattern (copper Kα), based on DFT lattice parameters and positions (GGA-PBE).
No peak broadening, texture or thermal motion is included.

Crystal structure
a b c (Å): 7.3307 7.3307 7.3307
angles (deg): 131.31 131.31 71.32
Atoms (fractional coordinates):
In (0.0000, 0.0000, 0.0000)
In (0.7500, 0.2500, 0.5000)
Cu (0.2500, 0.7500, 0.5000)
Ag (0.5000, 0.5000, 0.0000)
Se (0.1318, 0.1033, 0.4988)
Se (0.3670, 0.8682, 0.9715)
Se (0.6044, 0.6330, 0.5012)
Se (0.8967, 0.3956, 0.0285)

Top 10 peaks for 2θ = 5–70°, by intensity:
2θ/deg  I/Imax
25.66  100
42.62  48
50.13  30
42.29  25
50.70  15
68.10  12
61.35  8
67.62  6
62.36  4
34.01  2

---

4.
CdN: computed X-ray diffraction stick pattern (copper Kα), based on DFT lattice parameters and positions (GGA-PBE).
No peak broadening, texture or thermal motion is included.

Crystal structure
a b c (Å): 3.3468 3.3468 5.8673
angles (deg): 90.00 90.00 120.00
Atoms (fractional coordinates):
Cd (0.0000, 0.0000, 0.0000)
Cd (0.0000, 0.0000, 0.5000)
N (0.3333, 0.6667, 0.2500)
N (0.6667, 0.3333, 0.7500)

Top 8 peaks for 2θ = 5–70°, by intensity:
2θ/deg  I/Imax
30.85  100
43.91  93
30.47  30
54.86  25
64.06  21
64.28  12
63.41  5
34.51  2